Calculated powder X-ray diffraction pattern of Dy9Ho3Th2 for copper Kα, from a structure optimized by DFT (PBE).
Peak positions follow from Bragg's law for the DFT cell and can differ from measured ones.

The 10 most intense peaks (10° ≤ 2θ ≤ 90°), low angle first:
two_theta	I/Imax
29.21	17
29.80	26
30.99	38
31.70	52
32.20	100
33.81	55
44.92	28
51.79	17
56.78	20
63.30	15

Structure:
```
Dy9Ho3Th2
1.0
-2.8228 7.5072 5.2951
2.8228 -7.5072 5.2951
2.8228 7.5072 -5.2951
Dy Ho Th
9 3 2
Cartesian
0.0000 0.0000 0.0000 Dy
2.8228 -1.5452 1.7056 Dy
2.8228 -4.2053 3.5846 Dy
2.8228 1.5452 1.7056 Dy
0.0000 3.2957 1.7169 Dy
2.8228 4.2053 3.5846 Dy
0.0000 5.9608 3.5877 Dy
0.0000 9.0536 3.5877 Dy
0.0000 11.7187 1.7169 Dy
0.0000 0.0000 3.2620 Ho
0.0000 7.5072 0.0008 Ho
0.0000 0.0000 7.3307 Ho
2.8228 4.7231 0.0048 Th
0.0000 2.7841 5.2999 Th
```

Calculated powder X-ray diffraction pattern of Dy6HoTh2 for copper Kα, from a structure optimized by DFT (PBE).
Peak positions follow from Bragg's law for the DFT cell and can differ from measured ones.

The 10 most intense peaks (10° ≤ 2θ ≤ 90°), low angle first:
two_theta	I/Imax
31.67	99
31.98	100
45.62	36
52.64	8
56.80	38
57.00	20
62.93	29
66.86	12
75.85	11
81.28	14

Structure:
```
Dy6HoTh2
1.0
4.8436 -8.4022 0.0000
4.8436 8.4022 0.0000
0.0000 0.0000 3.4776
Dy Ho Th
6 1 2
Cartesian
1.6112 0.0000 0.0000 Dy
3.2295 2.8014 0.0000 Dy
3.2295 -2.8014 0.0000 Dy
6.4577 2.8014 0.0000 Dy
6.4577 -2.8014 0.0000 Dy
8.0760 0.0000 0.0000 Dy
4.8436 0.0000 1.7388 Ho
4.8436 5.5990 1.7388 Th
4.8436 -5.5990 1.7388 Th
```

Calculated powder X-ray diffraction pattern of Dy2Ho3Th3 for copper Kα, from a structure optimized by DFT (PBE).
Peak positions follow from Bragg's law for the DFT cell and can differ from measured ones.

The 10 most intense peaks (10° ≤ 2θ ≤ 90°), low angle first:
two_theta	I/Imax
30.82	100
35.59	17
35.70	17
35.93	17
51.30	12
51.51	24
60.98	15
61.13	15
61.43	14
64.22	13

Structure:
```
Dy2Ho3Th3
1.0
-2.4993 2.5149 10.0906
2.4993 -2.5149 10.0906
2.4993 2.5149 -10.0906
Dy Ho Th
2 3 3
Cartesian
0.0000 0.0000 5.0451 Dy
0.0000 0.0000 15.1362 Dy
0.0000 0.0000 0.0000 Ho
2.4993 0.0000 2.5126 Ho
0.0000 2.5149 7.5780 Ho
2.4993 0.0000 7.5913 Th
0.0000 0.0000 10.0906 Th
0.0000 2.5149 2.4994 Th
```

Calculated powder X-ray diffraction pattern of Dy16Ho7Th6 for copper Kα, from a structure optimized by DFT (PBE).
Peak positions follow from Bragg's law for the DFT cell and can differ from measured ones.

The 10 most intense peaks (10° ≤ 2θ ≤ 90°), low angle first:
two_theta	I/Imax
28.02	30
29.75	91
32.46	100
33.99	24
34.49	37
38.27	24
46.57	16
49.58	25
50.67	17
58.90	39

Structure:
```
Dy16Ho7Th6
1.0
0.0000 7.8010 7.8010
7.8010 0.0000 7.8010
7.8010 7.8010 0.0000
Dy Ho Th
16 7 6
Cartesian
10.2716 5.3304 5.3304 Dy
1.8653 1.8653 1.8653 Dy
5.9357 5.9357 1.8653 Dy
5.9357 1.8653 5.9357 Dy
5.3304 5.3304 5.3304 Dy
10.2716 10.2716 5.3304 Dy
10.2716 5.3304 10.2716 Dy
13.7367 9.6663 9.6663 Dy
1.8653 5.9357 5.9357 Dy
5.3304 10.2716 5.3304 Dy
5.3304 5.3304 10.2716 Dy
10.2716 10.2716 10.2716 Dy
9.6663 13.7367 9.6663 Dy
9.6663 9.6663 13.7367 Dy
13.7367 13.7367 13.7367 Dy
5.3304 10.2716 10.2716 Dy
0.0000 0.0000 0.0000 Ho
3.9005 3.9005 0.0000 Ho
3.9005 0.0000 3.9005 Ho
7.8010 3.9005 3.9005 Ho
0.0000 3.9005 3.9005 Ho
3.9005 7.8010 3.9005 Ho
3.9005 3.9005 7.8010 Ho
7.8010 7.8010 5.1512 Th
7.8010 5.1512 7.8010 Th
10.4508 7.8010 7.8010 Th
5.1512 7.8010 7.8010 Th
7.8010 10.4508 7.8010 Th
7.8010 7.8010 10.4508 Th
```

Calculated powder X-ray diffraction pattern of Dy6HoTh4 for copper Kα, from a structure optimized by DFT (PBE).
Peak positions follow from Bragg's law for the DFT cell and can differ from measured ones.

The 10 most intense peaks (10° ≤ 2θ ≤ 90°), low angle first:
two_theta	I/Imax
27.09	26
28.91	18
30.63	66
31.53	100
31.91	15
33.87	39
36.47	39
41.34	17
55.01	20
63.44	26

Structure:
```
Dy6HoTh4
1.0
-1.7127 2.9195 17.8538
1.7127 -2.9195 17.8538
1.7127 2.9195 -17.8538
Dy Ho Th
6 1 4
Cartesian
0.0000 0.0000 3.4081 Dy
0.0000 0.0000 9.5413 Dy
0.0000 0.0000 13.1690 Dy
0.0000 0.0000 22.5385 Dy
0.0000 0.0000 26.1663 Dy
0.0000 0.0000 32.2994 Dy
1.7127 0.0000 0.0000 Ho
1.7127 0.0000 6.4981 Th
1.7127 0.0000 16.2914 Th
0.0000 2.9195 1.5624 Th
0.0000 2.9195 11.3557 Th
```

Calculated powder X-ray diffraction pattern of DyHo2Th2 for copper Kα, from a structure optimized by DFT (PBE).
Peak positions follow from Bragg's law for the DFT cell and can differ from measured ones.

The 10 most intense peaks (10° ≤ 2θ ≤ 90°), low angle first:
two_theta	I/Imax
30.79	100
31.00	33
35.68	23
35.81	45
51.27	16
51.62	24
61.09	10
61.17	19
61.33	14
61.49	9

Structure:
```
DyHo2Th2
1.0
14.5712 0.0000 0.0000
0.0000 7.1005 0.0000
-0.8832 0.0000 6.1168
Dy Ho Th
4 8 8
Cartesian
2.7553 0.9012 0.9162 Dy
2.3137 2.6490 3.9746 Dy
11.3743 4.4515 2.1422 Dy
10.9327 6.1993 5.2006 Dy
2.7315 4.4195 0.9034 Ho
2.2899 6.2313 3.9618 Ho
5.3680 4.4345 3.3651 Ho
5.8095 6.2163 0.3067 Ho
7.8785 0.8843 5.8101 Ho
8.3201 2.6660 2.7517 Ho
11.3981 0.8692 2.1550 Ho
10.9566 2.6810 5.2134 Ho
13.9014 0.8830 4.5997 Th
14.3430 2.6672 1.5413 Th
-0.6549 4.4333 4.5755 Th
-0.2133 6.2175 1.5171 Th
5.3654 0.9177 3.3619 Th
5.8070 2.6325 0.3035 Th
7.8811 4.4680 5.8133 Th
8.3226 6.1828 2.7549 Th
```

Calculated powder X-ray diffraction pattern of DyHo6Th4 for copper Kα, from a structure optimized by DFT (PBE).
Peak positions follow from Bragg's law for the DFT cell and can differ from measured ones.

The 10 most intense peaks (10° ≤ 2θ ≤ 90°), low angle first:
two_theta	I/Imax
27.15	26
28.97	18
30.70	66
31.59	100
31.98	15
33.95	38
36.55	39
41.43	17
55.13	20
63.59	26

Structure:
```
DyHo6Th4
1.0
-1.7089 2.9132 17.8230
1.7089 -2.9132 17.8230
1.7089 2.9132 -17.8230
Dy Ho Th
1 6 4
Cartesian
0.0000 0.0000 0.0000 Dy
1.7089 0.0000 3.4108 Ho
1.7089 0.0000 9.5225 Ho
1.7089 0.0000 13.1463 Ho
0.0000 2.9132 4.6767 Ho
0.0000 2.9132 8.3005 Ho
0.0000 2.9132 14.4122 Ho
0.0000 0.0000 6.4872 Th
0.0000 0.0000 16.2575 Th
0.0000 0.0000 19.3886 Th
0.0000 0.0000 29.1589 Th
```

Calculated powder X-ray diffraction pattern of Dy6Ho2Th for copper Kα, from a structure optimized by DFT (PBE).
Peak positions follow from Bragg's law for the DFT cell and can differ from measured ones.

The 10 most intense peaks (10° ≤ 2θ ≤ 90°), low angle first:
two_theta	I/Imax
28.95	46
30.72	51
32.08	66
33.73	100
42.72	30
51.32	37
57.62	31
61.00	42
62.82	17
85.31	15

Structure:
```
Dy6Ho2Th
1.0
3.5608 0.0000 0.0000
-1.7804 3.0838 0.0000
0.0000 0.0000 26.1963
Dy Ho Th
6 2 1
Cartesian
0.0000 0.0000 1.7125 Dy
0.0000 0.0000 7.3386 Dy
0.0000 0.0000 18.8578 Dy
0.0000 0.0000 24.4839 Dy
0.0000 2.0558 10.1929 Dy
0.0000 2.0558 16.0034 Dy
0.0000 2.0558 4.4848 Ho
0.0000 2.0558 21.7115 Ho
0.0000 0.0000 13.0982 Th
```

Calculated powder X-ray diffraction pattern of Dy2Ho4Th for copper Kα, from a structure optimized by DFT (PBE).
Peak positions follow from Bragg's law for the DFT cell and can differ from measured ones.

The 10 most intense peaks (10° ≤ 2θ ≤ 90°), low angle first:
two_theta	I/Imax
28.86	38
31.40	52
32.55	100
33.28	94
51.06	41
56.15	21
57.58	20
61.17	32
61.87	16
87.56	18

Structure:
```
Dy2Ho4Th
1.0
3.0975 -1.7890 0.0000
3.0975 1.7890 0.0000
-2.0779 0.0000 19.9413
Dy Ho Th
2 4 1
Cartesian
0.0000 0.0000 0.0000 Dy
-0.0082 0.0000 5.6622 Dy
-0.0086 0.0000 17.1091 Ho
2.0645 0.0000 2.8246 Ho
4.1212 0.0000 8.5090 Ho
4.1174 0.0000 14.2853 Ho
-0.0114 0.0000 11.4016 Th
```

Calculated powder X-ray diffraction pattern of Dy12HoTh2 for copper Kα, from a structure optimized by DFT (PBE).
Peak positions follow from Bragg's law for the DFT cell and can differ from measured ones.

The 10 most intense peaks (10° ≤ 2θ ≤ 90°), low angle first:
two_theta	I/Imax
30.16	88
30.51	62
31.39	75
32.22	100
32.36	64
32.67	97
33.39	70
43.44	30
46.32	46
62.36	30

Structure:
```
Dy12HoTh2
1.0
3.5277 -5.5563 0.0000
3.5277 5.5563 0.0000
-1.7732 0.0000 24.5171
Dy Ho Th
24 2 4
Cartesian
1.7529 2.8127 4.9262 Dy
1.7516 2.9223 8.0928 Dy
1.7730 2.8898 13.6068 Dy
0.1450 0.0000 13.8384 Dy
-0.0049 0.0000 21.2151 Dy
1.7632 2.7784 22.7249 Dy
3.5190 2.7784 1.7922 Dy
1.7515 0.0000 3.3237 Dy
1.7393 0.0000 10.0361 Dy
3.5092 2.8898 10.9103 Dy
3.5306 2.9223 16.4243 Dy
3.5293 2.8127 19.5908 Dy
1.7529 -2.8127 4.9262 Dy
1.7516 -2.9223 8.0928 Dy
1.7730 -2.8898 13.6068 Dy
3.5430 0.0000 14.4810 Dy
3.5307 0.0000 21.1934 Dy
1.7632 -2.7784 22.7249 Dy
3.5190 -2.7784 1.7922 Dy
5.2871 0.0000 3.3019 Dy
5.1372 0.0000 10.6786 Dy
3.5092 -2.8898 10.9103 Dy
3.5306 -2.9223 16.4243 Dy
3.5293 -2.8127 19.5908 Dy
1.7623 0.0000 0.0051 Ho
3.5200 0.0000 24.5120 Ho
0.0585 0.0000 6.5867 Th
1.8382 0.0000 17.9512 Th
3.4440 0.0000 6.5658 Th
5.2237 0.0000 17.9304 Th
```

Calculated powder X-ray diffraction pattern of Dy6HoTh12 for copper Kα, from a structure optimized by DFT (PBE).
Peak positions follow from Bragg's law for the DFT cell and can differ from measured ones.

The 10 most intense peaks (10° ≤ 2θ ≤ 90°), low angle first:
two_theta	I/Imax
28.79	13
30.09	30
31.49	33
31.85	100
34.30	27
34.65	24
55.07	17
57.00	15
65.05	10
84.22	10

Structure:
```
Dy6HoTh12
1.0
6.6702 3.8510 4.0980
-6.6702 3.8510 4.0980
0.0000 -7.7021 4.0980
Dy Ho Th
6 1 12
Cartesian
-2.9151 -1.6830 5.5693 Dy
0.0000 -3.3660 6.7246 Dy
-2.9151 1.6830 6.7246 Dy
2.9151 -1.6830 5.5693 Dy
0.0000 3.3660 5.5693 Dy
2.9151 1.6830 6.7246 Dy
0.0000 0.0000 6.1470 Ho
-1.6863 -4.7813 4.0980 Th
-4.9839 0.9303 4.0980 Th
0.0000 -2.0546 2.9440 Th
-1.7793 1.0273 2.9440 Th
1.6863 -4.7813 4.0980 Th
-3.2976 3.8510 4.0980 Th
1.7793 1.0273 2.9440 Th
-1.7793 -1.0273 9.3500 Th
4.9839 0.9303 4.0980 Th
3.2976 3.8510 4.0980 Th
1.7793 -1.0273 9.3500 Th
0.0000 2.0546 9.3500 Th
```

Calculated powder X-ray diffraction pattern of Dy4HoTh2 for copper Kα, from a structure optimized by DFT (PBE).
Peak positions follow from Bragg's law for the DFT cell and can differ from measured ones.

The 10 most intense peaks (10° ≤ 2θ ≤ 90°), low angle first:
two_theta	I/Imax
29.75	39
30.55	18
30.68	71
31.77	62
32.47	100
33.21	41
42.09	15
44.41	14
49.76	16
59.61	18

Structure:
```
Dy4HoTh2
1.0
3.4756 0.0000 0.0000
-1.2493 8.3776 0.0000
-0.0561 -4.0629 7.7230
Dy Ho Th
4 1 2
Cartesian
0.0869 -0.4401 1.6775 Dy
0.3807 1.6679 7.1214 Dy
1.7894 2.6469 0.6016 Dy
2.0832 4.7548 6.0455 Dy
-0.6527 2.1574 3.8615 Ho
0.4396 5.0539 2.8373 Th
1.7306 -0.7391 4.8857 Th
```